Record 1
PrCuSb2Pd4: computed powder diffractogram (copper Kα), based on the PBE geometry in Alexandria.
Neutral-atom scattering factors, no anomalous dispersion.

The 6 most intense peaks (15 to 90 degrees two-theta), in order of rising 2θ:
d 3.135, I 21
d 2.704, I 18
d 2.510, I 75
d 2.261, I 100
d 1.680, I 22
d 1.349, I 21

Structural model:
a b c (Å): 9.101 9.101 9.101
angles (deg): 28.77 28.77 28.77
Element x y z (fractional)
Pr: 0.000 0.000 0.000
Cu: 0.500 0.500 0.500
Sb: 0.243 0.243 0.243
Sb: 0.757 0.757 0.757
Pd: 0.138 0.138 0.138
Pd: 0.402 0.402 0.402
Pd: 0.598 0.598 0.598
Pd: 0.862 0.862 0.862

Record 2
PrCuSi2Pd: computed powder diffractogram (copper Kα), based on the PBE geometry in Alexandria.
Neutral-atom scattering factors, no anomalous dispersion.

The 6 most intense peaks (15 to 90 degrees two-theta), in order of rising 2θ:
d 3.858, I 32
d 2.614, I 34
d 2.547, I 100
d 2.089, I 38
d 1.632, I 16
d 1.278, I 22

Structural model:
a b c (Å): 5.831 5.831 5.831
angles (deg): 138.02 138.02 60.87
Element x y z (fractional)
Pr: 0.000 0.000 0.000
Cu: 0.750 0.250 0.500
Si: 0.380 0.380 0.000
Si: 0.620 0.620 0.000
Pd: 0.250 0.750 0.500

Record 3
Pr3Zn2CuPd9: computed powder diffractogram (copper Kα), based on the PBE geometry in Alexandria.
Neutral-atom scattering factors, no anomalous dispersion.

The 6 most intense peaks (15 to 90 degrees two-theta), in order of rising 2θ:
d 2.890, I 100
d 2.286, I 90
d 1.865, I 48
d 1.446, I 41
d 1.411, I 22
d 1.142, I 19

Structural model:
a b c (Å): 7.459 7.459 6.470
angles (deg): 90.00 90.00 120.00
Element x y z (fractional)
Pr: 0.000 0.000 0.000
Pr: 0.333 0.667 0.665
Pr: 0.667 0.333 0.335
Zn: 0.333 0.667 0.168
Zn: 0.667 0.333 0.832
Cu: 0.000 0.000 0.500
Pd: 0.000 0.500 0.000
Pd: 0.167 0.334 0.336
Pd: 0.167 0.833 0.336
Pd: 0.334 0.167 0.664
Pd: 0.500 0.000 0.000
Pd: 0.500 0.500 0.000
Pd: 0.666 0.833 0.336
Pd: 0.833 0.167 0.664
Pd: 0.833 0.666 0.664

Record 4
Cu2Pd8Pt3: computed powder diffractogram (copper Kα), based on the PBE geometry in Alexandria.
Neutral-atom scattering factors, no anomalous dispersion.

The 6 most intense peaks (15 to 90 degrees two-theta), in order of rising 2θ:
d 2.575, I 22
d 2.167, I 100
d 2.115, I 26
d 1.836, I 18
d 1.231, I 14
d 1.114, I 15

Structural model:
a b c (Å): 8.133 8.133 3.671
angles (deg): 90.00 90.00 117.33
Element x y z (fractional)
Cu: 0.234 0.766 0.000
Cu: 0.766 0.234 0.000
Pd: 0.104 0.896 0.500
Pd: 0.110 0.398 0.000
Pd: 0.353 0.647 0.500
Pd: 0.398 0.110 0.000
Pd: 0.602 0.890 0.000
Pd: 0.647 0.353 0.500
Pd: 0.890 0.602 0.000
Pd: 0.896 0.104 0.500
Pt: 0.267 0.267 0.500
Pt: 0.500 0.500 0.000
Pt: 0.733 0.733 0.500